(1)
Ca3Pt5: calculated X-ray diffraction stick pattern (copper Kα), based on a PBE-relaxed structure.
Lines closer than 0.1° are merged.

Cell and atoms:
```
data_Ca3Pt5
_space_group_name_H-M_alt 'C 1 m 1'
_space_group_IT_number 8
_space_group_name_Hall 'C -2y'
_cell_length_a 5.9234
_cell_length_b 16.7174
_cell_length_c 7.0564
_cell_angle_alpha 90.00
_cell_angle_beta 90.71
_cell_angle_gamma 90.00
loop_
_atom_site_label
_atom_site_type_symbol
_atom_site_fract_x
_atom_site_fract_y
_atom_site_fract_z
Ca1 Ca 0.0000 0.0000 0.0000
Ca2 Ca 0.0023 0.1856 0.7088
Ca3 Ca 0.0319 0.5000 0.3765
Ca4 Ca 0.2571 0.1857 0.1726
Pt1 Pt 0.1405 0.3196 0.4360
Pt2 Pt 0.2054 0.0000 0.6448
Pt3 Pt 0.2220 0.3617 0.0701
Pt4 Pt 0.4700 0.1309 0.7530
Pt5 Pt 0.4757 0.4211 0.3725
Pt6 Pt 0.4918 0.0000 0.9632
```

Most intense lines, 2θ = 15–90°, most intense first:
20.2 deg, rel. 100
21.9 deg, rel. 64
39.5 deg, rel. 48
45.3 deg, rel. 35
33.2 deg, rel. 32
40.3 deg, rel. 30
44.7 deg, rel. 28
48.4 deg, rel. 26

---

(2)
Ti6Ni8Pt: calculated X-ray diffraction stick pattern (copper Kα), based on a PBE-relaxed structure.
Lines closer than 0.1° are merged.

Cell and atoms:
```
data_Ti6Ni8Pt
_space_group_name_H-M_alt 'R -3'
_space_group_IT_number 148
_space_group_name_Hall '-R 3'
_cell_length_a 6.8882
_cell_length_b 6.8882
_cell_length_c 15.2404
_cell_angle_alpha 90.00
_cell_angle_beta 90.00
_cell_angle_gamma 120.00
loop_
_atom_site_label
_atom_site_type_symbol
_atom_site_fract_x
_atom_site_fract_y
_atom_site_fract_z
Ti1 Ti 0.0055 0.2677 0.3896
Ni1 Ni 0.0000 0.0000 0.2597
Ni2 Ni 0.0078 0.2821 0.8802
Pt1 Pt 0.0000 0.0000 0.0000
```

Most intense lines, 2θ = 15–90°, most intense first:
44.3 deg, rel. 100
45.6 deg, rel. 86
16.0 deg, rel. 81
38.3 deg, rel. 70
46.8 deg, rel. 69
31.4 deg, rel. 69
41.8 deg, rel. 55
50.3 deg, rel. 31

---

(3)
Ca3Tl5Br12: calculated X-ray diffraction stick pattern (copper Kα), based on a PBE-relaxed structure.
Lines closer than 0.1° are merged.

Cell and atoms:
```
data_Ca3Tl5Br12
_space_group_name_H-M_alt 'P -6 2 m'
_space_group_IT_number 189
_space_group_name_Hall 'P -6 -2'
_cell_length_a 13.4673
_cell_length_b 13.4673
_cell_length_c 4.4017
_cell_angle_alpha 90.00
_cell_angle_beta 90.00
_cell_angle_gamma 120.00
loop_
_atom_site_label
_atom_site_type_symbol
_atom_site_fract_x
_atom_site_fract_y
_atom_site_fract_z
Ca1 Ca 0.0000 0.3253 0.0000
Tl1 Tl 0.0000 0.7117 0.5000
Tl2 Tl 0.3333 0.6667 0.5000
Br1 Br 0.0000 0.1793 0.5000
Br2 Br 0.0000 0.4659 0.5000
Br3 Br 0.1973 0.7500 0.0000
```

Most intense lines, 2θ = 15–90°, most intense first:
28.7 deg, rel. 100
33.5 deg, rel. 72
30.7 deg, rel. 70
41.0 deg, rel. 50
20.2 deg, rel. 35
27.6 deg, rel. 34
22.9 deg, rel. 30
39.4 deg, rel. 29